Theoretical X-ray powder pattern of Tm2ScHg6 for Cu Kα (weighted mean of Kα1 and Kα2), from the PBE geometry in Alexandria.

Crystal structure
abc: 14.1142 11.4816 5.3345
angles: 90.00 100.07 90.00
Space group C2/c (No. 15)
Inequivalent atoms, fractional coordinates:
Tm (0.1674, 0.1256, 0.0818) x8
Sc (0.0000, 0.3758, 0.2500) x4
Hg (0.0561, 0.1279, 0.5273) x8
Hg (0.1080, 0.3765, 0.8048) x8
Hg (0.2180, 0.3754, 0.3616) x8

Largest 12 diffraction maxima, by angle, 2θ from 10° to 90°:
- 31.16 deg, d 2.870, I = 78, hkl 0 4 0
- 34.53 deg, d 2.598, I = 60, hkl 1 1 -2
- 34.66 deg, d 2.588, I = 59, hkl 5 1 -1
- 36.91 deg, d 2.435, I = 100, hkl 4 2 1
- 41.26 deg, d 2.188, I = 37, hkl 1 3 -2
- 41.38 deg, d 2.182, I = 36, hkl 5 3 -1
- 52.59 deg, d 1.740, I = 19, hkl 1 5 -2
- 52.69 deg, d 1.737, I = 19, hkl 5 5 -1
- 59.27 deg, d 1.559, I = 26, hkl 4 6 1
- 60.23 deg, d 1.536, I = 12, hkl 3 1 3
- 62.80 deg, d 1.480, I = 21, hkl 6 2 -3
- 64.93 deg, d 1.436, I = 19, hkl 0 8 0



Theoretical X-ray powder pattern of Tm7ScHg4 for Cu Kα (weighted mean of Kα1 and Kα2), from the PBE geometry in Alexandria.

Crystal structure
abc: 14.4102 5.5347 9.6238
angles: 90.00 122.43 90.00
Space group C2/m (No. 12)
Inequivalent atoms, fractional coordinates:
Tm (0.0000, 0.0000, 0.0000) x2
Tm (0.0676, 0.5000, 0.4063) x4
Tm (0.2079, 0.5000, 0.8840) x4
Tm (0.2391, 0.0000, 0.6933) x4
Sc (0.0000, 0.5000, 0.0000) x2
Hg (0.0503, 0.0000, 0.7265) x4
Hg (0.1867, 0.0000, 0.3418) x4

Largest 12 diffraction maxima, by angle, 2θ from 10° to 90°:
- 30.21 deg, d 2.958, I = 38, hkl 4 0 -3
- 31.21 deg, d 2.866, I = 30, hkl 1 1 2
- 32.36 deg, d 2.766, I = 100, hkl 0 2 0
- 32.55 deg, d 2.751, I = 23, hkl 3 1 -3
- 33.08 deg, d 2.708, I = 17, hkl 0 0 3
- 33.68 deg, d 2.661, I = 41, hkl 3 1 1
- 33.93 deg, d 2.642, I = 30, hkl 1 1 -3
- 35.18 deg, d 2.551, I = 18, hkl 5 1 -2
- 36.21 deg, d 2.481, I = 63, hkl 5 1 -1
- 37.65 deg, d 2.389, I = 34, hkl 5 1 -3
- 44.24 deg, d 2.047, I = 19, hkl 4 2 0
- 44.85 deg, d 2.021, I = 26, hkl 4 2 -3



Theoretical X-ray powder pattern of Tm2Sc2Hg3 for Cu Kα (weighted mean of Kα1 and Kα2), from the PBE geometry in Alexandria.

Crystal structure
abc: 3.6338 26.5968 3.5856
angles: 90.00 90.00 90.00
Space group Cmmm (No. 65)
Inequivalent atoms, fractional coordinates:
Tm (0.0000, 0.0701, 0.0000) x4
Sc (0.0000, 0.2011, 0.0000) x4
Hg (0.0000, 0.3575, 0.5000) x4
Hg (0.0000, 0.5000, 0.5000) x2

Largest 12 diffraction maxima, by angle, 2θ from 10° to 90°:
- 13.32 deg, d 6.649, I = 15, hkl 0 4 0
- 32.11 deg, d 2.788, I = 54, hkl 0 6 1
- 34.14 deg, d 2.626, I = 92, hkl 1 7 0
- 35.33 deg, d 2.541, I = 100, hkl 1 1 1
- 36.87 deg, d 2.438, I = 51, hkl 0 8 1
- 47.88 deg, d 1.900, I = 17, hkl 0 14 0
- 50.21 deg, d 1.817, I = 16, hkl 2 0 0
- 50.94 deg, d 1.793, I = 15, hkl 0 0 2
- 57.75 deg, d 1.596, I = 18, hkl 1 13 1
- 60.86 deg, d 1.522, I = 18, hkl 2 6 1
- 62.75 deg, d 1.481, I = 32, hkl 1 7 2
- 63.92 deg, d 1.457, I = 43, hkl 1 15 1



Theoretical X-ray powder pattern of TmScZnHg for Cu Kα (weighted mean of Kα1 and Kα2), from the PBE geometry in Alexandria.

Crystal structure
abc: 7.0567 7.0567 7.0567
angles: 90.00 90.00 90.00
Space group F-43m (No. 216)
Inequivalent atoms, fractional coordinates:
Tm (0.0000, 0.0000, 0.0000) x4
Sc (0.0000, 0.0000, 0.5000) x4
Zn (0.2500, 0.2500, 0.2500) x4
Hg (0.2500, 0.2500, 0.7500) x4

Largest 12 diffraction maxima, by angle, 2θ from 10° to 90°:
- 21.81 deg, d 4.074, I = 31, hkl 1 1 1
- 25.24 deg, d 3.528, I = 2, hkl 2 0 0
- 36.00 deg, d 2.495, I = 100, hkl 2 2 0
- 42.49 deg, d 2.128, I = 17, hkl 3 1 1
- 51.82 deg, d 1.764, I = 18, hkl 4 0 0
- 56.87 deg, d 1.619, I = 8, hkl 3 3 1
- 58.49 deg, d 1.578, I = 1, hkl 4 2 0
- 64.71 deg, d 1.440, I = 36, hkl 4 2 2
- 69.17 deg, d 1.358, I = 6, hkl 5 1 1
- 76.34 deg, d 1.247, I = 11, hkl 4 4 0
- 80.53 deg, d 1.193, I = 6, hkl 5 3 1
- 87.41 deg, d 1.116, I = 16, hkl 6 2 0



Theoretical X-ray powder pattern of ScHg2W for Cu Kα (weighted mean of Kα1 and Kα2), from the PBE geometry in Alexandria.

Crystal structure
abc: 2.9470 2.9470 9.2113
angles: 90.00 90.00 90.00
Space group P4mm (No. 99)
Inequivalent atoms, fractional coordinates:
Sc (0.0000, 0.0000, 0.0000) x1
Hg (0.0000, 0.0000, 0.4730) x1
Hg (0.5000, 0.5000, 0.7449) x1
W (0.5000, 0.5000, 0.2309) x1

Largest 12 diffraction maxima, by angle, 2θ from 10° to 90°:
- 19.27 deg, d 4.606, I = 6, hkl 0 0 2
- 29.08 deg, d 3.070, I = 5, hkl 0 0 3
- 31.88 deg, d 2.807, I = 11, hkl 1 0 1
- 36.19 deg, d 2.482, I = 100, hkl 1 0 2
- 39.12 deg, d 2.303, I = 19, hkl 0 0 4
- 43.43 deg, d 2.084, I = 31, hkl 1 1 0
- 53.12 deg, d 1.724, I = 4, hkl 1 1 3
- 59.86 deg, d 1.545, I = 22, hkl 1 1 4
- 63.09 deg, d 1.473, I = 10, hkl 2 0 0
- 68.97 deg, d 1.362, I = 14, hkl 1 0 6
- 74.95 deg, d 1.267, I = 25, hkl 2 1 2
- 76.80 deg, d 1.241, I = 11, hkl 2 0 4



Theoretical X-ray powder pattern of Sc2HgW for Cu Kα (weighted mean of Kα1 and Kα2), from the PBE geometry in Alexandria.

Crystal structure
abc: 3.9997 4.3936 9.0590
angles: 90.00 90.00 90.00
Space group Cmmm (No. 65)
Inequivalent atoms, fractional coordinates:
Sc (0.0000, 0.0000, 0.2372) x4
Hg (0.0000, 0.5000, 0.5000) x2
W (0.0000, 0.5000, 0.0000) x2

Largest 12 diffraction maxima, by angle, 2θ from 10° to 90°:
- 19.60 deg, d 4.530, I = 43, hkl 0 0 2
- 30.22 deg, d 2.958, I = 31, hkl 1 1 0
- 36.27 deg, d 2.476, I = 100, hkl 1 1 2
- 39.80 deg, d 2.265, I = 19, hkl 0 0 4
- 41.09 deg, d 2.197, I = 18, hkl 0 2 0
- 45.35 deg, d 2.000, I = 13, hkl 2 0 0
- 50.77 deg, d 1.798, I = 16, hkl 1 1 4
- 58.54 deg, d 1.577, I = 12, hkl 0 2 4
- 69.96 deg, d 1.345, I = 14, hkl 1 1 6
- 71.72 deg, d 1.316, I = 14, hkl 1 3 2
- 77.01 deg, d 1.238, I = 11, hkl 2 2 4
- 77.77 deg, d 1.228, I = 11, hkl 3 1 2